1.
Structure and calculated powder diffractogram of Ce6MnIn2Co (a PBE-relaxed structure; Cu Kα).
Kinematic intensities with the Lorentz-polarization factor, no thermal factor.

Principal peaks in the range 2θ = 10–80°, by angle:
hkl 0 2 0, 2θ = 17.4°, intensity 12; hkl 0 2 2, 2θ = 30.1°, intensity 68; hkl 2 2 0, 2θ = 30.5°, intensity 62; hkl 0 4 0, 2θ = 35.1°, intensity 100; hkl 0 0 4, 2θ = 50.0°, intensity 12; hkl 2 4 2, 2θ = 50.5°, intensity 45; hkl 2 2 4, 2θ = 59.7°, intensity 20; hkl 4 2 2, 2θ = 60.4°, intensity 16; hkl 0 4 4, 2θ = 62.6°, intensity 11; hkl 4 4 0, 2θ = 63.5°, intensity 10

```
data_Ce6MnIn2Co
_chemical_formula_sum 'Ce12 Mn2 In4 Co2'
_cell_length_a 7.151
_cell_length_b 10.215
_cell_length_c 7.297
_cell_angle_alpha 90.00
_cell_angle_beta 90.00
_cell_angle_gamma 90.00
_space_group_name_H-M_alt 'I m m 2'
_space_group_IT_number 44
loop_
_space_group_symop_operation_xyz
'x,y,z'
'-x,-y,z'
'-x,y,z'
'x,-y,z'
'x+1/2,y+1/2,z+1/2'
'-x+1/2,-y+1/2,z+1/2'
'-x+1/2,y+1/2,z+1/2'
'x+1/2,-y+1/2,z+1/2'
loop_
_atom_site_label
_atom_site_type_symbol
_atom_site_fract_x
_atom_site_fract_y
_atom_site_fract_z
Ce1 Ce 0.000 0.238 0.000
Ce2 Ce 0.222 0.500 0.261
Ce3 Ce 0.243 0.500 0.763
Mn1 Mn 0.000 0.500 0.954
In1 In 0.000 0.248 0.506
Co1 Co 0.000 0.000 0.009
```



2.
Structure and calculated powder diffractogram of NaAlCO5 (a PBE-relaxed structure; Cu Kα).
Kinematic intensities with the Lorentz-polarization factor, no thermal factor.

Principal peaks in the range 2θ = 10–80°, by angle:
hkl 0 1 1, 2θ = 14.6°, intensity 100; hkl 0 2 0, 2θ = 22.4°, intensity 45; hkl 1 1 2, 2θ = 26.8°, intensity 15; hkl 1 2 1, 2θ = 28.9°, intensity 75; hkl 0 1 3, 2θ = 30.5°, intensity 12; hkl 0 0 4, 2θ = 38.1°, intensity 28; hkl 2 2 0, 2θ = 38.5°, intensity 17; hkl 2 3 1, 2θ = 47.6°, intensity 30; hkl 0 1 5, 2θ = 49.6°, intensity 12; hkl 2 2 4, 2θ = 55.3°, intensity 22

```
data_NaAlCO5
_chemical_formula_sum 'Na4 Al4 C4 O20'
_cell_length_a 5.786
_cell_length_b 7.930
_cell_length_c 9.448
_cell_angle_alpha 90.00
_cell_angle_beta 90.00
_cell_angle_gamma 90.00
_space_group_name_H-M_alt 'I m m a'
_space_group_IT_number 74
_space_group_name_Hall '-I 2b 2'
loop_
_atom_site_label
_atom_site_type_symbol
_atom_site_fract_x
_atom_site_fract_y
_atom_site_fract_z
Na1 Na 0.000 0.000 0.000
Al1 Al 0.250 0.250 0.250
C1 C 0.000 0.250 0.533
O1 O 0.000 0.111 0.223
O2 O 0.000 0.250 0.669
O3 O 0.198 0.250 0.470
```



3.
Structure and calculated powder diffractogram of Pa4Sb8Au3 (a PBE-relaxed structure; Cu Kα).
Kinematic intensities with the Lorentz-polarization factor, no thermal factor.

Principal peaks in the range 2θ = 10–80°, by angle:
hkl 1 0 2, 2θ = 22.1°, intensity 13; hkl 1 1 4, 2θ = 34.2°, intensity 100; hkl 1 0 6, 2θ = 34.6°, intensity 9; hkl 0 0 8, 2θ = 37.4°, intensity 15; hkl 2 0 0, 2θ = 40.8°, intensity 35; hkl 2 0 8, 2θ = 56.5°, intensity 19; hkl 2 2 0, 2θ = 59.0°, intensity 12; hkl 1 1 12, 2θ = 65.5°, intensity 8; hkl 3 1 4, 2θ = 70.0°, intensity 25; hkl 2 2 8, 2θ = 72.0°, intensity 13

```
data_Pa4Sb8Au3
_chemical_formula_sum 'Pa4 Sb8 Au3'
_cell_length_a 4.427
_cell_length_b 4.427
_cell_length_c 19.222
_cell_angle_alpha 90.00
_cell_angle_beta 90.00
_cell_angle_gamma 90.00
_space_group_name_H-M_alt 'P -4 m 2'
_space_group_IT_number 115
loop_
_space_group_symop_operation_xyz
'x,y,z'
'y,-x,-z'
'-x,-y,z'
'-y,x,-z'
'-x,y,z'
'-y,-x,-z'
'x,-y,z'
'y,x,-z'
loop_
_atom_site_label
_atom_site_type_symbol
_atom_site_fract_x
_atom_site_fract_y
_atom_site_fract_z
Pa1 Pa 0.000 0.500 0.122
Pa2 Pa 0.000 0.500 0.626
Sb1 Sb 0.000 0.000 0.246
Sb2 Sb 0.000 0.500 0.396
Sb3 Sb 0.000 0.500 0.911
Sb4 Sb 0.500 0.500 0.246
Au1 Au 0.000 0.000 0.000
Au2 Au 0.000 0.000 0.500
Au3 Au 0.500 0.500 0.500
```



4.
Structure and calculated powder diffractogram of Nd5Y2Ho3 (a PBE-relaxed structure; Cu Kα).
Kinematic intensities with the Lorentz-polarization factor, no thermal factor.

Principal peaks in the range 2θ = 10–80°, by angle:
hkl 0 0 2, 2θ = 20.6°, intensity 21; hkl 2 2 1, 2θ = 29.2°, intensity 79; hkl 2 4 -2, 2θ = 31.2°, intensity 100; hkl 0 4 2, 2θ = 31.9°, intensity 18; hkl 4 0 -2, 2θ = 33.5°, intensity 56; hkl 2 0 -4, 2θ = 35.4°, intensity 21; hkl 0 6 3, 2θ = 48.7°, intensity 19; hkl 6 4 -4, 2θ = 58.5°, intensity 17; hkl 4 6 -5, 2θ = 60.4°, intensity 20; hkl 2 4 4, 2θ = 61.8°, intensity 24

```
data_Nd5Y2Ho3
_chemical_formula_sum 'Nd20 Y8 Ho12'
_cell_length_a 10.703
_cell_length_b 14.764
_cell_length_c 10.150
_cell_angle_alpha 90.00
_cell_angle_beta 121.80
_cell_angle_gamma 90.00
_space_group_name_H-M_alt 'C 1 2/c 1'
_space_group_IT_number 15
loop_
_space_group_symop_operation_xyz
'x,y,z'
'-x,-y,-z'
'-x,y,-z+1/2'
'x,-y,z+1/2'
'x+1/2,y+1/2,z'
'-x+1/2,-y+1/2,-z'
'-x+1/2,y+1/2,-z+1/2'
'x+1/2,-y+1/2,z+1/2'
loop_
_atom_site_label
_atom_site_type_symbol
_atom_site_fract_x
_atom_site_fract_y
_atom_site_fract_z
Nd1 Nd 0.000 0.020 0.250
Nd2 Nd 0.000 0.231 0.250
Nd3 Nd 0.000 0.480 0.750
Nd4 Nd 0.250 0.128 0.752
Y1 Y 0.154 0.128 0.059
Ho1 Ho 0.000 0.271 0.750
Ho2 Ho 0.154 0.375 0.559
```



5.
Structure and calculated powder diffractogram of Ca3CdPd8 (a PBE-relaxed structure; Cu Kα).
Kinematic intensities with the Lorentz-polarization factor, no thermal factor.

Principal peaks in the range 2θ = 10–80°, by angle:
hkl 0 1 2, 2θ = 20.0°, intensity 48; hkl 1 1 0, 2θ = 33.0°, intensity 17; hkl 1 1 6, 2θ = 38.9°, intensity 100; hkl 1 0 10, 2θ = 39.0°, intensity 32; hkl 0 2 4, 2θ = 40.7°, intensity 60; hkl 0 0 12, 2θ = 40.8°, intensity 20; hkl 2 0 8, 2θ = 47.3°, intensity 20; hkl 0 3 6, 2θ = 62.8°, intensity 31; hkl 2 2 0, 2θ = 69.1°, intensity 19; hkl 0 2 16, 2θ = 69.3°, intensity 19

```
data_Ca3CdPd8
_chemical_formula_sum 'Ca9 Cd3 Pd24'
_cell_length_a 5.4380
_cell_length_b 5.4380
_cell_length_c 26.5402
_cell_angle_alpha 90.00
_cell_angle_beta 90.00
_cell_angle_gamma 120.00
_space_group_name_H-M_alt 'R 3 m'
_space_group_IT_number 160
_space_group_name_Hall 'R 3 -2"'
loop_
_atom_site_label
_atom_site_type_symbol
_atom_site_fract_x
_atom_site_fract_y
_atom_site_fract_z
Ca1 Ca 0.0000 0.0000 0.0000
Ca2 Ca 0.0000 0.0000 0.1285
Ca3 Ca 0.0000 0.0000 0.5089
Cd1 Cd 0.0000 0.0000 0.6303
Pd1 Pd 0.0000 0.0000 0.3164
Pd2 Pd 0.0000 0.0000 0.8167
Pd3 Pd 0.0000 0.5000 0.5670
Pd4 Pd 0.1673 0.3346 0.3994
```



6.
Structure and calculated powder diffractogram of Li5Ac2Ga3 (a PBE-relaxed structure; Cu Kα).
Kinematic intensities with the Lorentz-polarization factor, no thermal factor.

Principal peaks in the range 2θ = 10–80°, by angle:
hkl 0 0 2, 2θ = 14.8°, intensity 45; hkl 1 0 1, 2θ = 21.0°, intensity 99; hkl 1 1 0, 2θ = 28.0°, intensity 64; hkl 1 0 3, 2θ = 29.9°, intensity 76; hkl 1 1 2, 2θ = 31.8°, intensity 78; hkl 1 1 3, 2θ = 36.0°, intensity 100; hkl 2 0 0, 2θ = 40.0°, intensity 45; hkl 1 0 6, 2θ = 49.9°, intensity 35; hkl 2 1 3, 2θ = 50.7°, intensity 36; hkl 2 1 6, 2θ = 65.8°, intensity 31

```
data_Li5Ac2Ga3
_chemical_formula_sum 'Li5 Ac2 Ga3'
_cell_length_a 4.511
_cell_length_b 4.511
_cell_length_c 11.994
_cell_angle_alpha 90.00
_cell_angle_beta 90.00
_cell_angle_gamma 90.00
_space_group_name_H-M_alt 'P -4 m 2'
_space_group_IT_number 115
loop_
_space_group_symop_operation_xyz
'x,y,z'
'y,-x,-z'
'-x,-y,z'
'-y,x,-z'
'-x,y,z'
'-y,-x,-z'
'x,-y,z'
'y,x,-z'
loop_
_atom_site_label
_atom_site_type_symbol
_atom_site_fract_x
_atom_site_fract_y
_atom_site_fract_z
Li1 Li 0.000 0.000 0.000
Li2 Li 0.000 0.000 0.500
Li3 Li 0.000 0.500 0.347
Li4 Li 0.500 0.500 0.500
Ac1 Ac 0.000 0.500 0.793
Ga1 Ga 0.000 0.500 0.124
Ga2 Ga 0.500 0.500 0.000
```



7.
Structure and calculated powder diffractogram of Y3Er7Tl2 (a PBE-relaxed structure; Cu Kα).
Kinematic intensities with the Lorentz-polarization factor, no thermal factor.

Principal peaks in the range 2θ = 10–80°, by angle:
hkl 0 0 6, 2θ = 29.4°, intensity 27; hkl 1 1 -2, 2θ = 30.9°, intensity 31; hkl 1 1 2, 2θ = 31.5°, intensity 100; hkl 2 0 -1, 2θ = 32.2°, intensity 66; hkl 1 0 -6, 2θ = 32.7°, intensity 56; hkl 0 0 7, 2θ = 34.5°, intensity 41; hkl 1 1 -4, 2θ = 35.1°, intensity 48; hkl 1 1 -5, 2θ = 38.1°, intensity 24; hkl 0 2 0, 2θ = 50.8°, intensity 24; hkl 2 2 -1, 2θ = 61.4°, intensity 21

```
data_Y3Er7Tl2
_chemical_formula_sum 'Y3 Er7 Tl2'
_cell_length_a 5.582
_cell_length_b 3.595
_cell_length_c 18.249
_cell_angle_alpha 90.00
_cell_angle_beta 93.37
_cell_angle_gamma 90.00
_space_group_name_H-M_alt 'P 1 2/m 1'
_space_group_IT_number 10
loop_
_space_group_symop_operation_xyz
'x,y,z'
'-x,-y,-z'
'-x,y,-z'
'x,-y,z'
loop_
_atom_site_label
_atom_site_type_symbol
_atom_site_fract_x
_atom_site_fract_y
_atom_site_fract_z
Y1 Y 0.000 0.000 0.000
Y2 Y 0.274 0.500 0.633
Er1 Er 0.167 0.500 0.149
Er2 Er 0.242 0.000 0.459
Er3 Er 0.332 0.000 0.831
Er4 Er 0.500 0.500 0.000
Tl1 Tl 0.208 0.000 0.292
```



8.
Structure and calculated powder diffractogram of Er3Ga5 (a PBE-relaxed structure; Cu Kα).
Kinematic intensities with the Lorentz-polarization factor, no thermal factor.

Principal peaks in the range 2θ = 10–80°, by angle:
hkl 0 4 0, 2θ = 27.1°, intensity 12; hkl 1 3 3, 2θ = 29.5°, intensity 35; hkl 2 2 0, 2θ = 33.1°, intensity 100; hkl 1 5 3, 2θ = 40.5°, intensity 33; hkl 2 0 6, 2θ = 43.1°, intensity 37; hkl 3 3 3, 2θ = 53.1°, intensity 12; hkl 1 5 9, 2θ = 60.6°, intensity 18; hkl 0 0 12, 2θ = 62.6°, intensity 11; hkl 4 2 6, 2θ = 72.7°, intensity 18; hkl 2 10 0, 2θ = 79.8°, intensity 13

```
data_Er3Ga5
_chemical_formula_sum 'Er24 Ga40'
_cell_length_a 5.933
_cell_length_b 13.145
_cell_length_c 17.812
_cell_angle_alpha 90.00
_cell_angle_beta 90.00
_cell_angle_gamma 90.00
_space_group_name_H-M_alt 'F d d d'
_space_group_IT_number 70
loop_
_space_group_symop_operation_xyz
'x,y,z'
'-x,-y,-z'
'-x+1/4,-y+1/4,z'
'x+1/4,y+1/4,-z'
'x,-y+1/4,-z+1/4'
'-x,y+1/4,z+1/4'
'-x+1/4,y,-z+1/4'
'x+1/4,-y,z+1/4'
'x,y+1/2,z+1/2'
'-x,-y+1/2,-z+1/2'
'-x+1/4,-y+3/4,z+1/2'
'x+1/4,y+3/4,-z+1/2'
'x,-y+3/4,-z+3/4'
'-x,y+3/4,z+3/4'
'-x+1/4,y+1/2,-z+3/4'
'x+1/4,-y+1/2,z+3/4'
'x+1/2,y,z+1/2'
'-x+1/2,-y,-z+1/2'
'-x+3/4,-y+1/4,z+1/2'
'x+3/4,y+1/4,-z+1/2'
'x+1/2,-y+1/4,-z+3/4'
'-x+1/2,y+1/4,z+3/4'
'-x+3/4,y,-z+3/4'
'x+3/4,-y,z+3/4'
'x+1/2,y+1/2,z'
'-x+1/2,-y+1/2,-z'
'-x+3/4,-y+3/4,z'
'x+3/4,y+3/4,-z'
'x+1/2,-y+3/4,-z+1/4'
'-x+1/2,y+3/4,z+1/4'
'-x+3/4,y+1/2,-z+1/4'
'x+3/4,-y+1/2,z+1/4'
loop_
_atom_site_label
_atom_site_type_symbol
_atom_site_fract_x
_atom_site_fract_y
_atom_site_fract_z
Er1 Er 0.125 0.125 0.125
Er2 Er 0.125 0.125 0.450
Ga1 Ga 0.095 0.030 0.294
Ga2 Ga 0.125 0.125 0.625
```